Simulated powder XRD pattern of SnPSe3 for Cu Kα (weighted mean of Kα1 and Kα2), from a structure optimized by DFT (PBE).

Cell and atoms:
```
SnPSe3
1.0
6.9595 0.0000 0.0000
0.0000 7.8951 0.0000
-6.7660 0.0000 9.9033
Sn P Se
4 4 12
direct
0.2492 0.1269 0.2131
0.2492 0.3731 0.7131
0.7508 0.6269 0.2869
0.7508 0.8731 0.7869
0.3767 0.6029 0.4315
0.3767 0.8971 0.9315
0.6233 0.1029 0.0685
0.6233 0.3971 0.5685
0.1220 0.0102 0.7320
0.1220 0.4898 0.2320
0.2091 0.6942 0.5342
0.2091 0.8058 0.0342
0.4005 0.1939 0.5622
0.4005 0.3061 0.0622
0.5995 0.6939 0.9378
0.5995 0.8061 0.4378
0.7909 0.1942 0.9658
0.7909 0.3058 0.4658
0.8780 0.5102 0.7680
0.8780 0.9898 0.2680
```

Largest 8 diffraction maxima, low angle first, 5° ≤ 2θ ≤ 70°:
- 3.087 Å, 2θ 28.93, rel. 65
- 3.015 Å, 2θ 29.63, rel. 58
- 3.005 Å, 2θ 29.73, rel. 49
- 2.809 Å, 2θ 31.86, rel. 100
- 2.656 Å, 2θ 33.74, rel. 42
- 2.533 Å, 2θ 35.44, rel. 59
- 2.462 Å, 2θ 36.50, rel. 52
- 1.897 Å, 2θ 47.97, rel. 33